[1]
# YTh2Pd7
Theoretical powder XRD pattern, CuKα. Input: a structure optimized by DFT (GGA-PBE).

Top 6 peaks for 10° ≤ 2θ ≤ 90°, sorted by position:
| 2theta | d (Å) | intensity |
| --- | --- | --- |
| 24.25 | 3.670 | 67 |
| 37.59 | 2.393 | 100 |
| 37.76 | 2.383 | 99 |
| 41.91 | 2.155 | 37 |
| 44.69 | 2.028 | 61 |
| 62.93 | 1.477 | 44 |

Structural model:
```
YTh2Pd7
1.0
0.000 4.311 8.576
2.876 0.000 8.576
2.876 4.311 0.000
Y Th Pd
1 2 7
Direct
0.000 0.000 0.000
0.332 0.332 0.668
0.668 0.668 0.332
0.084 0.084 0.416
0.250 0.250 0.250
0.416 0.416 0.084
0.500 0.500 0.500
0.584 0.584 0.916
0.750 0.750 0.750
0.916 0.916 0.584
```

---

[2]
# TaIn2Ag
Theoretical powder XRD pattern, CuKα. Input: a structure optimized by DFT (GGA-PBE).

Top 6 peaks for 10° ≤ 2θ ≤ 90°, sorted by position:
| 2theta | d (Å) | intensity |
| --- | --- | --- |
| 35.60 | 2.522 | 100 |
| 38.11 | 2.361 | 17 |
| 42.88 | 2.109 | 31 |
| 58.70 | 1.573 | 20 |
| 62.26 | 1.491 | 10 |
| 73.83 | 1.284 | 23 |

Structural model:
```
TaIn2Ag
1.0
2.982 0.000 0.000
0.000 2.982 0.000
0.000 0.000 9.446
Ta In Ag
1 2 1
Direct
0.000 0.000 0.000
0.000 0.000 0.474
0.500 0.500 0.768
0.500 0.500 0.221
```

---

[3]
# Zn9SnAu2
Theoretical powder XRD pattern, CuKα. Input: a structure optimized by DFT (GGA-PBE).

Top 6 peaks for 10° ≤ 2θ ≤ 90°, sorted by position:
| 2theta | d (Å) | intensity |
| --- | --- | --- |
| 32.30 | 2.772 | 82 |
| 36.69 | 2.449 | 72 |
| 36.91 | 2.435 | 58 |
| 39.68 | 2.271 | 48 |
| 43.53 | 2.079 | 100 |
| 45.44 | 1.996 | 94 |

Structural model:
```
Zn9SnAu2
1.0
-5.446 5.446 3.484
5.446 -5.446 3.484
5.446 5.446 -3.484
Zn Sn Au
18 2 4
Direct
0.053 0.216 0.419
0.053 0.634 0.837
0.216 0.053 0.919
0.216 0.297 0.163
0.297 0.216 0.663
0.297 0.634 0.081
0.366 0.703 0.419
0.366 0.947 0.663
0.375 0.625 0.750
0.625 0.375 0.250
0.634 0.053 0.337
0.634 0.297 0.581
0.703 0.366 0.919
0.703 0.784 0.337
0.784 0.703 0.837
0.784 0.947 0.081
0.947 0.366 0.163
0.947 0.784 0.581
0.125 0.875 0.250
0.875 0.125 0.750
0.000 0.500 0.500
0.500 0.000 0.000
0.500 0.500 0.000
0.500 0.500 0.500
```

---

[4]
# LaCeNd2Dy5
Theoretical powder XRD pattern, CuKα. Input: a structure optimized by DFT (GGA-PBE).

Top 6 peaks for 10° ≤ 2θ ≤ 90°, sorted by position:
| 2theta | d (Å) | intensity |
| --- | --- | --- |
| 28.57 | 3.124 | 63 |
| 29.01 | 3.078 | 49 |
| 30.66 | 2.916 | 100 |
| 32.53 | 2.753 | 18 |
| 37.70 | 2.386 | 17 |
| 52.47 | 1.744 | 18 |

Structural model:
```
LaCeNd2Dy5
1.0
-4.352 4.352 7.857
4.352 -4.352 7.857
4.352 4.352 -7.857
La Ce Nd Dy
2 2 4 10
Direct
0.250 0.250 0.000
0.750 0.750 0.000
0.250 0.750 0.500
0.750 0.250 0.500
0.120 0.620 0.741
0.380 0.120 0.500
0.620 0.880 0.500
0.880 0.380 0.259
0.000 0.000 0.000
0.065 0.159 0.500
0.159 0.659 0.094
0.341 0.435 0.500
0.435 0.935 0.094
0.500 0.500 0.000
0.565 0.065 0.906
0.659 0.565 0.500
0.841 0.341 0.906
0.935 0.841 0.500
```